1.
Diffraction record for Li2RuAu. The powder XRD pattern is calculated, not measured: it uses a PBE-relaxed structure and Cu Kα, 1.54184 Å.
Lines closer than 0.1° are merged.

Atomic structure:
```
data_Li2RuAu
_symmetry_space_group_name_H-M 'P m m 2'
_symmetry_Int_Tables_number 25
_cell_length_a 2.627
_cell_length_b 4.360
_cell_length_c 5.245
_cell_angle_alpha 90.00
_cell_angle_beta 90.00
_cell_angle_gamma 90.00
loop_
_symmetry_equiv_pos_as_xyz
'x,y,z'
'-x,-y,z'
'-x,y,z'
'x,-y,z'
loop_
_atom_site_label
_atom_site_fract_x
_atom_site_fract_y
_atom_site_fract_z
_atom_site_occupancy
Li1 0.000 0.000 0.000 1
Li2 0.500 0.500 0.247 1
Ru1 0.000 0.000 0.505 1
Au1 0.500 0.500 0.738 1
```

Principal peaks in the range 2θ from 10° to 90°, low angle first:
- d 5.245, intensity 100
- d 3.353, intensity 58
- d 2.349, intensity 23
- d 2.249, intensity 90
- d 2.068, intensity 37
- d 1.856, intensity 25



2.
Diffraction record for LiAuS3. The powder XRD pattern is calculated, not measured: it uses a PBE-relaxed structure and Cu Kα, 1.54184 Å.
Lines closer than 0.1° are merged.

Atomic structure:
```
data_LiAuS3
_symmetry_space_group_name_H-M 'P 1 21 1'
_symmetry_Int_Tables_number 4
_cell_length_a 4.981
_cell_length_b 5.760
_cell_length_c 8.293
_cell_angle_alpha 90.00
_cell_angle_beta 91.44
_cell_angle_gamma 90.00
loop_
_symmetry_equiv_pos_as_xyz
'x,y,z'
'-x,y+1/2,-z'
loop_
_atom_site_label
_atom_site_fract_x
_atom_site_fract_y
_atom_site_fract_z
_atom_site_occupancy
Li1 0.029 0.000 0.362 1
Au1 0.481 0.024 0.003 1
S1 0.028 0.030 0.662 1
S2 0.423 0.968 0.724 1
S3 0.466 0.594 0.723 1
```

Principal peaks in the range 2θ from 10° to 90°, low angle first:
- d 8.290, intensity 100
- d 4.979, intensity 65
- d 4.317, intensity 52
- d 4.222, intensity 28
- d 2.491, intensity 37
- d 2.397, intensity 30



3.
Diffraction record for Li4AuS3. The powder XRD pattern is calculated, not measured: it uses a PBE-relaxed structure and Cu Kα, 1.54184 Å.
Lines closer than 0.1° are merged.

Atomic structure:
```
data_Li4AuS3
_symmetry_space_group_name_H-M 'C 1 2/c 1'
_symmetry_Int_Tables_number 15
_cell_length_a 11.618
_cell_length_b 5.746
_cell_length_c 8.235
_cell_angle_alpha 90.00
_cell_angle_beta 93.66
_cell_angle_gamma 90.00
loop_
_symmetry_equiv_pos_as_xyz
'x,y,z'
'-x,-y,-z'
'-x,y,-z+1/2'
'x,-y,z+1/2'
'x+1/2,y+1/2,z'
'-x+1/2,-y+1/2,-z'
'-x+1/2,y+1/2,-z+1/2'
'x+1/2,-y+1/2,z+1/2'
loop_
_atom_site_label
_atom_site_fract_x
_atom_site_fract_y
_atom_site_fract_z
_atom_site_occupancy
Li1 0.110 0.146 0.013 1
Li2 0.183 0.277 0.673 1
Au1 0.000 0.444 0.250 1
S1 0.000 0.025 0.750 1
S2 0.175 0.486 0.413 1
```

Principal peaks in the range 2θ from 10° to 90°, low angle first:
- d 5.797, intensity 71
- d 5.148, intensity 100
- d 4.109, intensity 36
- d 3.458, intensity 52
- d 3.257, intensity 63
- d 2.210, intensity 24



4.
Diffraction record for Li4AuS4. The powder XRD pattern is calculated, not measured: it uses a PBE-relaxed structure and Cu Kα, 1.54184 Å.
Lines closer than 0.1° are merged.

Atomic structure:
```
data_Li4AuS4
_symmetry_space_group_name_H-M 'I 41/a m d'
_symmetry_Int_Tables_number 141
_cell_length_a 7.141
_cell_length_b 7.141
_cell_length_c 12.932
_cell_angle_alpha 90.00
_cell_angle_beta 90.00
_cell_angle_gamma 90.00
loop_
_symmetry_equiv_pos_as_xyz
'x,y,z'
'-x,-y,-z'
'-y+1/4,x+3/4,z+1/4'
'y+1/4,-x+3/4,-z+1/4'
'-x+1/2,-y,z+1/2'
'x+1/2,y,-z+1/2'
'y+1/4,-x+1/4,z+3/4'
'-y+1/4,x+1/4,-z+3/4'
'x,-y,-z'
'-x,y,z'
'-y+1/4,-x+1/4,-z+3/4'
'y+1/4,x+1/4,z+3/4'
'-x+1/2,y,-z+1/2'
'x+1/2,-y,z+1/2'
'y+1/4,x+3/4,-z+1/4'
'-y+1/4,-x+3/4,z+1/4'
'x+1/2,y+1/2,z+1/2'
'-x+1/2,-y+1/2,-z+1/2'
'-y+3/4,x+1/4,z+3/4'
'y+3/4,-x+1/4,-z+3/4'
'-x,-y+1/2,z'
'x,y+1/2,-z'
'y+3/4,-x+3/4,z+1/4'
'-y+3/4,x+3/4,-z+1/4'
'x+1/2,-y+1/2,-z+1/2'
'-x+1/2,y+1/2,z+1/2'
'-y+3/4,-x+3/4,-z+1/4'
'y+3/4,x+3/4,z+1/4'
'-x,y+1/2,-z'
'x,-y+1/2,z'
'y+3/4,x+1/4,-z+3/4'
'-y+3/4,-x+1/4,z+3/4'
loop_
_atom_site_label
_atom_site_fract_x
_atom_site_fract_y
_atom_site_fract_z
_atom_site_occupancy
Li1 0.000 0.012 0.100 1
Au1 0.000 0.250 0.375 1
S1 0.000 0.063 0.724 1
```

Principal peaks in the range 2θ from 10° to 90°, low angle first:
- d 6.251, intensity 100
- d 3.980, intensity 88
- d 3.690, intensity 89
- d 3.570, intensity 52
- d 3.100, intensity 40
- d 2.132, intensity 48